This entry pairs a crystal structure of Cd2Co2F with its simulated X-ray diffraction stick pattern. Radiation: Cu Kα, 1.54184 Å. Structure: a structure optimized by DFT (GGA+U).
Peak positions follow from Bragg's law for the DFT cell and can differ from measured ones.

Largest 12 diffraction maxima, in order of rising 2θ, 2θ from 15° to 90°:
27.43 deg, intensity 100, hkl 1 0 1
32.22 deg, intensity 23, hkl 1 0 3
35.62 deg, intensity 37, hkl 0 0 6
38.23 deg, intensity 12, hkl 1 1 0
40.12 deg, intensity 59, hkl 1 1 2
40.29 deg, intensity 81, hkl 1 0 5
45.38 deg, intensity 80, hkl 1 1 4
55.18 deg, intensity 34, hkl 2 0 0
62.70 deg, intensity 19, hkl 2 1 1
67.42 deg, intensity 21, hkl 2 0 6
70.50 deg, intensity 28, hkl 2 1 5
74.59 deg, intensity 26, hkl 1 1 10

Structural model:
```
data_Cd2Co2F
_chemical_formula_sum 'Cd4 Co4 F2'
_cell_length_a 3.3293
_cell_length_b 3.3293
_cell_length_c 15.1221
_cell_angle_alpha 90.00
_cell_angle_beta 90.00
_cell_angle_gamma 90.00
_symmetry_space_group_name_H-M 'I 4/m m m'
_symmetry_Int_Tables_number 139
_symmetry_space_group_name_Hall '-I 4 2'
loop_
_atom_site_label
_atom_site_type_symbol
_atom_site_fract_x
_atom_site_fract_y
_atom_site_fract_z
Cd1 Cd 0.0000 0.0000 0.1014
Co1 Co 0.0000 0.5000 0.2500
F1 F 0.0000 0.0000 0.5000
```